No. 1
Calculated PXRD pattern of Sr2Hg5Pb3 for Cu Kα, from a crystal structure in Alexandria, relaxed with PBE.
Neutral-atom scattering factors, no anomalous dispersion.

Most intense lines, 2θ = 10–90°, in order of falling intensity:
| 2θ (°) | intensity |
| --- | --- |
| 35.91 | 1000 |
| 29.21 | 661 |
| 28.74 | 643 |
| 19.10 | 556 |
| 38.51 | 530 |
| 38.15 | 524 |
| 27.79 | 466 |
| 14.10 | 398 |
| 40.17 | 344 |
| 70.88 | 238 |

Crystal structure
Unit cell a=10.138 b=10.138 c=10.138 alpha=103.44 beta=90.35 gamma=139.60
Positions (direct):
Sr1 0.126 0.238 0.364
Sr2 0.374 0.738 0.112
Sr3 0.626 0.262 0.888
Sr4 0.874 0.762 0.636
Hg1 0.017 0.750 0.267
Hg2 0.126 0.647 0.773
Hg3 0.250 0.250 0.000
Hg4 0.374 0.147 0.522
Hg5 0.483 0.750 0.733
Hg6 0.517 0.250 0.267
Hg7 0.626 0.853 0.478
Hg8 0.750 0.750 0.000
Hg9 0.874 0.353 0.227
Hg10 0.983 0.250 0.733
Pb1 0.132 0.876 0.007
Pb2 0.250 0.750 0.500
Pb3 0.368 0.376 0.744
Pb4 0.632 0.624 0.256
Pb5 0.750 0.250 0.500
Pb6 0.868 0.124 0.993


No. 2
Calculated PXRD pattern of SrHg6Pb6 for Cu Kα, from a crystal structure in Alexandria, relaxed with PBE.
Neutral-atom scattering factors, no anomalous dispersion.

Most intense lines, 2θ = 10–90°, in order of falling intensity:
| 2θ (°) | intensity |
| --- | --- |
| 35.19 | 1000 |
| 31.68 | 672 |
| 30.14 | 474 |
| 53.53 | 358 |
| 26.03 | 307 |
| 39.12 | 303 |
| 55.04 | 230 |
| 49.59 | 197 |
| 66.17 | 189 |
| 61.95 | 186 |

Crystal structure
Unit cell a=6.848 b=6.848 c=9.995 alpha=90.00 beta=90.00 gamma=120.00
Positions (direct):
Sr1 0.000 0.000 0.000
Hg1 0.000 0.000 0.352
Hg2 0.000 0.000 0.648
Hg3 0.333 0.667 0.000
Hg4 0.333 0.667 0.500
Hg5 0.667 0.333 0.000
Hg6 0.667 0.333 0.500
Pb1 0.000 0.500 0.243
Pb2 0.000 0.500 0.757
Pb3 0.500 0.000 0.243
Pb4 0.500 0.000 0.757
Pb5 0.500 0.500 0.243
Pb6 0.500 0.500 0.757


No. 3
Calculated PXRD pattern of Sr4Hg3Pb for Cu Kα, from a crystal structure in Alexandria, relaxed with PBE.
Neutral-atom scattering factors, no anomalous dispersion.

Most intense lines, 2θ = 10–90°, in order of falling intensity:
| 2θ (°) | intensity |
| --- | --- |
| 31.38 | 1000 |
| 31.27 | 505 |
| 55.72 | 399 |
| 55.93 | 197 |
| 44.81 | 189 |
| 21.97 | 176 |
| 74.15 | 174 |
| 65.48 | 123 |
| 45.13 | 92 |
| 38.64 | 89 |

Crystal structure
Unit cell a=5.721 b=5.721 c=16.074 alpha=90.00 beta=90.00 gamma=90.00
Positions (direct):
Sr1 0.000 0.500 0.127
Sr2 0.000 0.500 0.373
Sr3 0.000 0.500 0.627
Sr4 0.000 0.500 0.873
Sr5 0.500 0.000 0.127
Sr6 0.500 0.000 0.373
Sr7 0.500 0.000 0.627
Sr8 0.500 0.000 0.873
Hg1 0.000 0.000 0.000
Hg2 0.000 0.000 0.250
Hg3 0.000 0.000 0.750
Hg4 0.500 0.500 0.250
Hg5 0.500 0.500 0.500
Hg6 0.500 0.500 0.750
Pb1 0.000 0.000 0.500
Pb2 0.500 0.500 0.000


No. 4
Calculated PXRD pattern of Sr4HgPb3 for Cu Kα, from a crystal structure in Alexandria, relaxed with PBE.
Neutral-atom scattering factors, no anomalous dispersion.

Most intense lines, 2θ = 10–90°, in order of falling intensity:
| 2θ (°) | intensity |
| --- | --- |
| 30.83 | 1000 |
| 54.82 | 401 |
| 89.37 | 220 |
| 44.16 | 189 |
| 21.66 | 177 |
| 72.93 | 175 |
| 64.22 | 125 |
| 49.70 | 88 |
| 37.99 | 61 |
| 81.24 | 44 |

Crystal structure
Unit cell a=5.803 b=5.803 c=16.398 alpha=90.00 beta=90.00 gamma=90.00
Positions (direct):
Sr1 0.000 0.500 0.124
Sr2 0.000 0.500 0.376
Sr3 0.000 0.500 0.624
Sr4 0.000 0.500 0.876
Sr5 0.500 0.000 0.124
Sr6 0.500 0.000 0.376
Sr7 0.500 0.000 0.624
Sr8 0.500 0.000 0.876
Hg1 0.000 0.000 0.000
Hg2 0.500 0.500 0.500
Pb1 0.000 0.000 0.250
Pb2 0.000 0.000 0.500
Pb3 0.000 0.000 0.750
Pb4 0.500 0.500 0.000
Pb5 0.500 0.500 0.250
Pb6 0.500 0.500 0.750


No. 5
Calculated PXRD pattern of SrHg3Pb3 for Cu Kα, from a crystal structure in Alexandria, relaxed with PBE.
Neutral-atom scattering factors, no anomalous dispersion.

Most intense lines, 2θ = 10–90°, in order of falling intensity:
| 2θ (°) | intensity |
| --- | --- |
| 31.64 | 1000 |
| 35.24 | 800 |
| 35.82 | 461 |
| 32.04 | 381 |
| 39.65 | 303 |
| 28.65 | 291 |
| 60.94 | 225 |
| 64.37 | 199 |
| 22.73 | 195 |
| 36.88 | 184 |

Crystal structure
Unit cell a=9.351 b=9.351 c=9.351 alpha=49.45 beta=49.45 gamma=49.45
Positions (direct):
Sr1 0.167 0.167 0.167
Sr2 0.833 0.833 0.833
Hg1 0.221 0.424 0.684
Hg2 0.316 0.779 0.576
Hg3 0.424 0.684 0.221
Hg4 0.576 0.316 0.779
Hg5 0.684 0.221 0.424
Hg6 0.779 0.576 0.316
Pb1 0.069 0.231 0.581
Pb2 0.231 0.581 0.069
Pb3 0.419 0.931 0.769
Pb4 0.581 0.069 0.231
Pb5 0.769 0.419 0.931
Pb6 0.931 0.769 0.419


No. 6
Calculated PXRD pattern of SrHg14Pb for Cu Kα, from a crystal structure in Alexandria, relaxed with PBE.
Neutral-atom scattering factors, no anomalous dispersion.

Most intense lines, 2θ = 10–90°, in order of falling intensity:
| 2θ (°) | intensity |
| --- | --- |
| 32.75 | 1000 |
| 34.71 | 217 |
| 35.38 | 206 |
| 60.99 | 173 |
| 61.86 | 164 |
| 50.41 | 153 |
| 68.65 | 118 |
| 43.38 | 116 |
| 56.72 | 104 |
| 57.17 | 101 |

Crystal structure
Unit cell a=7.243 b=7.243 c=8.343 alpha=90.00 beta=90.00 gamma=91.06
Positions (direct):
Sr1 0.000 0.000 0.000
Hg1 0.000 0.000 0.500
Hg2 0.000 0.500 0.000
Hg3 0.000 0.500 0.500
Hg4 0.254 0.746 0.261
Hg5 0.254 0.746 0.739
Hg6 0.255 0.255 0.263
Hg7 0.255 0.255 0.737
Hg8 0.500 0.000 0.000
Hg9 0.500 0.000 0.500
Hg10 0.500 0.500 0.500
Hg11 0.745 0.745 0.263
Hg12 0.745 0.745 0.737
Hg13 0.746 0.254 0.261
Hg14 0.746 0.254 0.739
Pb1 0.500 0.500 0.000


No. 7
Calculated PXRD pattern of Sr2Hg6Pb for Cu Kα, from a crystal structure in Alexandria, relaxed with PBE.
Neutral-atom scattering factors, no anomalous dispersion.

Most intense lines, 2θ = 10–90°, in order of falling intensity:
| 2θ (°) | intensity |
| --- | --- |
| 31.15 | 1000 |
| 34.90 | 964 |
| 61.10 | 390 |
| 47.47 | 316 |
| 60.26 | 311 |
| 42.62 | 302 |
| 23.68 | 226 |
| 62.59 | 181 |
| 82.90 | 171 |
| 82.16 | 134 |

Crystal structure
Unit cell a=8.905 b=8.905 c=3.757 alpha=90.00 beta=90.00 gamma=120.00
Positions (direct):
Sr1 0.333 0.667 0.000
Sr2 0.667 0.333 0.000
Hg1 0.000 0.330 0.500
Hg2 0.000 0.670 0.500
Hg3 0.330 0.000 0.500
Hg4 0.330 0.330 0.500
Hg5 0.670 0.000 0.500
Hg6 0.670 0.670 0.500
Pb1 0.000 0.000 0.000


No. 8
Calculated PXRD pattern of Sr3Hg3Pb for Cu Kα, from a crystal structure in Alexandria, relaxed with PBE.
Neutral-atom scattering factors, no anomalous dispersion.

Most intense lines, 2θ = 10–90°, in order of falling intensity:
| 2θ (°) | intensity |
| --- | --- |
| 31.95 | 1000 |
| 10.18 | 330 |
| 27.16 | 264 |
| 33.35 | 239 |
| 58.72 | 180 |
| 59.70 | 174 |
| 48.00 | 166 |
| 43.52 | 152 |
| 79.19 | 117 |
| 58.82 | 116 |

Crystal structure
Unit cell a=10.030 b=10.030 c=5.374 alpha=90.00 beta=90.00 gamma=120.00
Positions (direct):
Sr1 0.098 0.429 0.250
Sr2 0.330 0.902 0.250
Sr3 0.429 0.330 0.750
Sr4 0.571 0.670 0.250
Sr5 0.670 0.098 0.750
Sr6 0.902 0.571 0.750
Hg1 0.043 0.210 0.750
Hg2 0.167 0.957 0.750
Hg3 0.210 0.167 0.250
Hg4 0.790 0.833 0.750
Hg5 0.833 0.043 0.250
Hg6 0.957 0.790 0.250
Pb1 0.333 0.667 0.750
Pb2 0.667 0.333 0.250


No. 9
Calculated PXRD pattern of SrHg3Pb3 for Cu Kα, from a crystal structure in Alexandria, relaxed with PBE.
Neutral-atom scattering factors, no anomalous dispersion.

Most intense lines, 2θ = 10–90°, in order of falling intensity:
| 2θ (°) | intensity |
| --- | --- |
| 32.30 | 1000 |
| 30.17 | 924 |
| 35.50 | 605 |
| 34.21 | 434 |
| 45.91 | 414 |
| 37.95 | 348 |
| 29.54 | 297 |
| 65.54 | 251 |
| 53.20 | 203 |
| 58.46 | 200 |

Crystal structure
Unit cell a=9.094 b=9.094 c=9.094 alpha=51.56 beta=51.56 gamma=51.56
Positions (direct):
Sr1 0.086 0.086 0.086
Sr2 0.914 0.914 0.914
Hg1 0.217 0.217 0.591
Hg2 0.217 0.591 0.217
Hg3 0.409 0.783 0.783
Hg4 0.591 0.217 0.217
Hg5 0.783 0.409 0.783
Hg6 0.783 0.783 0.409
Pb1 0.081 0.638 0.638
Pb2 0.362 0.362 0.919
Pb3 0.362 0.919 0.362
Pb4 0.638 0.081 0.638
Pb5 0.638 0.638 0.081
Pb6 0.919 0.362 0.362


No. 10
Calculated PXRD pattern of SrHgTe3Pb for Cu Kα, from a crystal structure in Alexandria, relaxed with PBE.
Neutral-atom scattering factors, no anomalous dispersion.

Most intense lines, 2θ = 10–90°, in order of falling intensity:
| 2θ (°) | intensity |
| --- | --- |
| 27.55 | 1000 |
| 11.74 | 747 |
| 32.86 | 685 |
| 26.13 | 417 |
| 27.85 | 359 |
| 39.58 | 356 |
| 42.21 | 306 |
| 35.06 | 285 |
| 29.47 | 254 |
| 48.00 | 189 |

Crystal structure
Unit cell a=9.356 b=4.553 c=10.401 alpha=90.00 beta=100.13 gamma=90.00
Positions (direct):
Sr1 0.183 0.250 0.231
Sr2 0.817 0.750 0.769
Hg1 0.105 0.250 0.607
Hg2 0.895 0.750 0.393
Te1 0.080 0.250 0.874
Te2 0.238 0.750 0.503
Te3 0.421 0.750 0.164
Te4 0.579 0.250 0.836
Te5 0.762 0.250 0.497
Te6 0.920 0.750 0.126
Pb1 0.341 0.750 0.863
Pb2 0.659 0.250 0.137


No. 11
Calculated PXRD pattern of Tb3Hg4Pb for Cu Kα, from a crystal structure in Alexandria, relaxed with PBE.
Neutral-atom scattering factors, no anomalous dispersion.

Most intense lines, 2θ = 10–90°, in order of falling intensity:
| 2θ (°) | intensity |
| --- | --- |
| 34.16 | 1000 |
| 33.65 | 958 |
| 60.83 | 356 |
| 48.71 | 344 |
| 61.16 | 190 |
| 81.82 | 158 |
| 59.84 | 144 |
| 80.95 | 125 |
| 71.95 | 119 |
| 70.74 | 88 |

Crystal structure
Unit cell a=9.275 b=9.275 c=9.275 alpha=32.88 beta=32.88 gamma=32.88
Positions (direct):
Tb1 0.000 0.000 0.000
Tb2 0.244 0.244 0.244
Tb3 0.756 0.756 0.756
Hg1 0.119 0.119 0.119
Hg2 0.368 0.368 0.368
Hg3 0.632 0.632 0.632
Hg4 0.881 0.881 0.881
Pb1 0.500 0.500 0.500


No. 12
Calculated PXRD pattern of Tb2Hg3Pb for Cu Kα, from a crystal structure in Alexandria, relaxed with PBE.
Neutral-atom scattering factors, no anomalous dispersion.

Most intense lines, 2θ = 10–90°, in order of falling intensity:
| 2θ (°) | intensity |
| --- | --- |
| 36.64 | 1000 |
| 31.79 | 988 |
| 65.95 | 316 |
| 41.86 | 311 |
| 49.28 | 291 |
| 62.95 | 277 |
| 77.88 | 199 |
| 24.06 | 183 |
| 69.54 | 140 |
| 62.24 | 139 |

Crystal structure
Unit cell a=9.811 b=9.811 c=7.516 alpha=90.00 beta=90.00 gamma=120.00
Positions (direct):
Tb1 0.000 0.000 0.250
Tb2 0.000 0.000 0.750
Tb3 0.010 0.505 0.250
Tb4 0.495 0.505 0.250
Tb5 0.495 0.990 0.250
Tb6 0.505 0.010 0.750
Tb7 0.505 0.495 0.750
Tb8 0.990 0.495 0.750
Hg1 0.163 0.326 0.050
Hg2 0.163 0.326 0.450
Hg3 0.163 0.837 0.050
Hg4 0.163 0.837 0.450
Hg5 0.326 0.163 0.550
Hg6 0.326 0.163 0.950
Hg7 0.674 0.837 0.050
Hg8 0.674 0.837 0.450
Hg9 0.837 0.163 0.550
Hg10 0.837 0.163 0.950
Hg11 0.837 0.674 0.550
Hg12 0.837 0.674 0.950
Pb1 0.333 0.667 0.534
Pb2 0.333 0.667 0.966
Pb3 0.667 0.333 0.034
Pb4 0.667 0.333 0.466


No. 13
Calculated PXRD pattern of Tb2Hg3Pb3 for Cu Kα, from a crystal structure in Alexandria, relaxed with PBE.
Neutral-atom scattering factors, no anomalous dispersion.

Most intense lines, 2θ = 10–90°, in order of falling intensity:
| 2θ (°) | intensity |
| --- | --- |
| 32.83 | 1000 |
| 37.38 | 178 |
| 37.93 | 171 |
| 38.95 | 157 |
| 64.56 | 147 |
| 65.31 | 142 |
| 66.69 | 131 |
| 54.31 | 123 |
| 68.83 | 122 |
| 55.09 | 117 |

Crystal structure
Unit cell a=4.744 b=4.812 c=9.250 alpha=90.00 beta=90.00 gamma=90.00
Positions (direct):
Tb1 0.000 0.000 0.248
Tb2 0.000 0.000 0.752
Hg1 0.000 0.500 0.000
Hg2 0.500 0.500 0.242
Hg3 0.500 0.500 0.758
Pb1 0.000 0.500 0.500
Pb2 0.500 0.000 0.000
Pb3 0.500 0.000 0.500